Structure and theoretical X-ray diffraction stick pattern of InI (a crystal structure in the Materials Project, relaxed with GGA-PBE; Cu Kα (λ = 1.5418 Å)).

Largest 10 diffraction maxima, by intensity, 2θ = 10–90°:
- 26.60 deg, I = 100
- 33.08 deg, I = 52
- 27.45 deg, I = 37
- 60.54 deg, I = 25
- 36.28 deg, I = 22
- 37.00 deg, I = 21
- 46.10 deg, I = 21
- 52.79 deg, I = 20
- 43.50 deg, I = 18
- 46.68 deg, I = 17

Structural model:
Cell lengths 6.939, 6.939, 4.952 Å; angles 90.00, 90.00, 139.01 degrees
Fractional positions:
1 In 0.105 0.895 0.750
2 In 0.895 0.105 0.250
3 I 0.357 0.643 0.750
4 I 0.643 0.357 0.250